LiFeOF2: calculated XRD peak list (Cu Ka), based on DFT lattice parameters and positions (PBE+U).

Crystal structure
abc: 6.629 6.629 5.276
angles: 96.31 96.31 84.46
Fractional coordinates of all 20 atoms:
Li (0.105, 0.283, 0.327)
Li (0.283, 0.105, 0.827)
Li (0.717, 0.895, 0.173)
Li (0.895, 0.717, 0.673)
Fe (0.242, 0.758, 0.250)
Fe (0.426, 0.574, 0.750)
Fe (0.574, 0.426, 0.250)
Fe (0.758, 0.242, 0.750)
O (0.305, 0.488, 0.392)
O (0.488, 0.305, 0.892)
O (0.512, 0.695, 0.108)
O (0.695, 0.512, 0.608)
F (0.037, 0.214, 0.648)
F (0.139, 0.642, 0.889)
F (0.214, 0.037, 0.148)
F (0.358, 0.861, 0.611)
F (0.642, 0.139, 0.389)
F (0.786, 0.963, 0.852)
F (0.861, 0.358, 0.111)
F (0.963, 0.786, 0.352)

Top 8 peaks for 2θ from 10° to 80°, low angle first:
2θ (°)	I_rel
13.5	51
18.3	100
29.4	19
34.4	18
35.3	31
41.7	30
43.2	55
61.3	19